# 1
Diffraction record for TiO2. The PXRD pattern is simulated, not measured: it uses a crystal structure in the Materials Project, relaxed with PBE and Cu Kα.

Top 12 peaks for 10° ≤ 2θ ≤ 90°, low angle first:
2θ (°)	I/Imax	(hkl)
25.1	100	1 0 1
36.4	6	1 0 3
36.9	21	0 0 4
38.2	7	1 1 2
47.8	29	2 0 0
52.8	20	1 0 5
54.8	19	2 1 1
61.9	15	2 0 4
67.3	7	1 1 6
70.0	7	2 2 0
74.0	12	2 1 5
81.8	6	2 2 4

Crystal structure
```
data_TiO2
_chemical_formula_sum 'Ti4 O8'
_space_group_name_H-M_alt 'I 41/a m d'
_space_group_IT_number 141
_cell_length_a 3.8027
_cell_length_b 3.8027
_cell_length_c 9.7478
_cell_angle_alpha 90.00
_cell_angle_beta 90.00
_cell_angle_gamma 90.00
loop_
_space_group_symop_operation_xyz
'x,y,z'
'-x,-y,-z'
'-y+1/4,x+3/4,z+1/4'
'y+1/4,-x+3/4,-z+1/4'
'-x+1/2,-y,z+1/2'
'x+1/2,y,-z+1/2'
'y+1/4,-x+1/4,z+3/4'
'-y+1/4,x+1/4,-z+3/4'
'x,-y,-z'
'-x,y,z'
'-y+1/4,-x+1/4,-z+3/4'
'y+1/4,x+1/4,z+3/4'
'-x+1/2,y,-z+1/2'
'x+1/2,-y,z+1/2'
'y+1/4,x+3/4,-z+1/4'
'-y+1/4,-x+3/4,z+1/4'
'x+1/2,y+1/2,z+1/2'
'-x+1/2,-y+1/2,-z+1/2'
'-y+3/4,x+1/4,z+3/4'
'y+3/4,-x+1/4,-z+3/4'
'-x,-y+1/2,z'
'x,y+1/2,-z'
'y+3/4,-x+3/4,z+1/4'
'-y+3/4,x+3/4,-z+1/4'
'x+1/2,-y+1/2,-z+1/2'
'-x+1/2,y+1/2,z+1/2'
'-y+3/4,-x+3/4,-z+1/4'
'y+3/4,x+3/4,z+1/4'
'-x,y+1/2,-z'
'x,-y+1/2,z'
'y+3/4,x+1/4,-z+3/4'
'-y+3/4,-x+1/4,z+3/4'
loop_
_atom_site_label
_atom_site_type_symbol
_atom_site_fract_x
_atom_site_fract_y
_atom_site_fract_z
Ti1 Ti 0.0000 0.2500 0.3750
O1 O 0.0000 0.2500 0.1688
```

---

# 2
Diffraction record for Ti8O15. The PXRD pattern is simulated, not measured: it uses a crystal structure in the Materials Project, relaxed with PBE and Cu Kα.

Top 12 peaks for 10° ≤ 2θ ≤ 90°, low angle first:
2θ (°)	I/Imax	(hkl)
23.7	43	1 0 2
26.4	68	1 -2 0
28.0	74	-1 2 1
29.0	100	1 0 3
34.7	30	2 0 -2
35.6	39	1 0 -5
35.9	36	1 2 -2
40.6	33	0 1 -6
53.3	56	-3 2 3
54.1	41	2 0 5
54.3	30	1 -4 4
55.6	31	-2 4 1

Crystal structure
```
data_Ti8O15
_chemical_formula_sum 'Ti16 O30'
_space_group_name_H-M_alt 'P -1'
_space_group_IT_number 2
_cell_length_a 5.5841
_cell_length_b 7.1952
_cell_length_c 13.4927
_cell_angle_alpha 100.31
_cell_angle_beta 96.33
_cell_angle_gamma 108.65
loop_
_space_group_symop_operation_xyz
'x,y,z'
'-x,-y,-z'
loop_
_atom_site_label
_atom_site_type_symbol
_atom_site_fract_x
_atom_site_fract_y
_atom_site_fract_z
Ti1 Ti 0.0072 0.3089 0.3097
Ti2 Ti 0.0114 0.8098 0.3087
Ti3 Ti 0.2749 0.7787 0.9516
Ti4 Ti 0.2765 0.2782 0.9546
Ti5 Ti 0.3304 0.3986 0.5643
Ti6 Ti 0.3347 0.8991 0.5638
Ti7 Ti 0.3544 0.0261 0.1799
Ti8 Ti 0.3560 0.5306 0.1805
O1 O 0.0127 0.6495 0.8411
O2 O 0.0362 0.2776 0.4457
O3 O 0.0713 0.8551 0.0480
O4 O 0.0846 0.4467 0.6545
O5 O 0.1043 0.0662 0.2572
O6 O 0.2312 0.1390 0.6098
O7 O 0.2660 0.7647 0.2165
O8 O 0.2826 0.3235 0.8214
O9 O 0.3031 0.9296 0.4220
O10 O 0.3107 0.5575 0.0236
O11 O 0.3530 0.8569 0.7118
O12 O 0.3764 0.4801 0.3121
O13 O 0.4112 0.0488 0.9202
O14 O 0.4151 0.2609 0.1077
O15 O 0.4306 0.6556 0.5236
```

---

# 3
Diffraction record for TiO2. The PXRD pattern is simulated, not measured: it uses a crystal structure in the Materials Project, relaxed with PBE and Cu Kα.

Top 12 peaks for 10° ≤ 2θ ≤ 90°, low angle first:
2θ (°)	I/Imax	(hkl)
17.9	20	-2 1 1
22.9	100	1 2 -1
33.9	5	2 1 1
34.5	4	-3 1 4
36.3	9	2 -4 2
42.7	6	3 -1 2
42.8	12	3 2 -1
50.9	6	1 -6 3
50.9	4	5 0 -3
57.3	5	-5 3 6
57.7	7	4 1 1
57.8	6	-2 7 1

Crystal structure
```
data_TiO2
_chemical_formula_sum 'Ti18 O36'
_space_group_name_H-M_alt 'P 1'
_space_group_IT_number 1
_cell_length_a 9.9043
_cell_length_b 11.7148
_cell_length_c 11.7387
_cell_angle_alpha 94.19
_cell_angle_beta 114.91
_cell_angle_gamma 114.98
loop_
_space_group_symop_operation_xyz
'x,y,z'
loop_
_atom_site_label
_atom_site_type_symbol
_atom_site_fract_x
_atom_site_fract_y
_atom_site_fract_z
Ti1 Ti 0.0000 0.0000 0.0000
Ti2 Ti 0.0002 0.3269 0.6676
Ti3 Ti 0.0829 0.7643 0.9043
Ti4 Ti 0.0890 0.4275 0.2342
Ti5 Ti 0.0900 0.0931 0.5669
Ti6 Ti 0.1764 0.6625 0.6689
Ti7 Ti 0.1827 0.3318 0.0015
Ti8 Ti 0.1869 0.9995 0.3339
Ti9 Ti 0.4927 0.8423 0.1729
Ti10 Ti 0.4967 0.1714 0.8395
Ti11 Ti 0.4996 0.5051 0.5033
Ti12 Ti 0.5882 0.5953 0.0857
Ti13 Ti 0.5904 0.9228 0.7541
Ti14 Ti 0.5987 0.2587 0.4203
Ti15 Ti 0.6718 0.5072 0.8366
Ti16 Ti 0.6764 0.8402 0.5013
Ti17 Ti 0.6811 0.1735 0.1692
Ti18 Ti 0.9984 0.6649 0.3346
O1 O 0.0416 0.9020 0.9052
O2 O 0.0452 0.6377 0.4945
O3 O 0.0455 0.5627 0.2494
O4 O 0.0474 0.2960 0.8254
O5 O 0.0524 0.2314 0.5805
O6 O 0.0542 0.9716 0.1590
O7 O 0.1208 0.7415 0.7677
O8 O 0.1283 0.4169 0.0963
O9 O 0.1318 0.5022 0.6950
O10 O 0.1358 0.8390 0.3609
O11 O 0.1366 0.0850 0.4324
O12 O 0.1417 0.1751 0.0341
O13 O 0.2742 0.1236 0.7234
O14 O 0.2738 0.8055 0.0603
O15 O 0.2768 0.4565 0.3869
O16 O 0.4032 0.7672 0.7208
O17 O 0.4087 0.4354 0.0524
O18 O 0.4126 0.1000 0.3805
O19 O 0.5256 0.8294 0.3365
O20 O 0.5286 0.1593 0.0030
O21 O 0.5323 0.4956 0.6675
O22 O 0.5317 0.7230 0.1029
O23 O 0.5472 0.0579 0.7734
O24 O 0.5532 0.3925 0.4406
O25 O 0.6323 0.3427 0.8521
O26 O 0.6320 0.5860 0.9499
O27 O 0.6360 0.6749 0.5135
O28 O 0.6407 0.0098 0.1864
O29 O 0.6474 0.9154 0.6251
O30 O 0.6614 0.2570 0.2943
O31 O 0.7729 0.9519 0.9092
O32 O 0.7740 0.2792 0.5756
O33 O 0.7750 0.6249 0.2381
O34 O 0.8944 0.9420 0.5297
O35 O 0.8951 0.6140 0.8799
O36 O 0.8989 0.2727 0.1973
```

---

# 4
Diffraction record for TiO2. The PXRD pattern is simulated, not measured: it uses a crystal structure in the Materials Project, relaxed with PBE and Cu Kα.

Top 12 peaks for 10° ≤ 2θ ≤ 90°, low angle first:
2θ (°)	I/Imax	(hkl)
12.1	100	1 1 0
17.2	77	2 0 0
27.3	52	3 1 0
34.8	17	4 0 0
35.8	48	1 2 1
40.0	20	3 0 1
44.8	10	5 1 0
47.4	26	4 1 1
53.3	13	6 0 0
54.0	11	5 0 1
57.1	30	5 2 1
65.9	23	4 5 1

Crystal structure
```
data_TiO2
_chemical_formula_sum 'Ti8 O16'
_space_group_name_H-M_alt 'I 4/m'
_space_group_IT_number 87
_space_group_name_Hall '-I 4'
_cell_length_a 10.3189
_cell_length_b 10.3189
_cell_length_c 2.9839
_cell_angle_alpha 90.00
_cell_angle_beta 90.00
_cell_angle_gamma 90.00
loop_
_atom_site_label
_atom_site_type_symbol
_atom_site_fract_x
_atom_site_fract_y
_atom_site_fract_z
Ti1 Ti 0.1439 0.6726 0.0000
O1 O 0.0397 0.3357 0.0000
O2 O 0.1564 0.7888 0.5000
```

---

# 5
Diffraction record for Ti2O3. The PXRD pattern is simulated, not measured: it uses a crystal structure in the Materials Project, relaxed with PBE and Cu Kα.

Top 12 peaks for 10° ≤ 2θ ≤ 90°, low angle first:
2θ (°)	I/Imax	(hkl)
23.8	69	0 1 2
32.6	87	1 0 4
35.1	80	1 1 0
40.2	37	1 1 3
48.7	34	0 2 4
53.2	100	1 1 6
61.4	28	2 1 4
63.0	45	3 0 0
70.6	15	1 0 10
74.2	9	2 2 0
83.4	8	1 3 4
86.9	20	2 2 6

Crystal structure
```
data_Ti2O3
_chemical_formula_sum 'Ti12 O18'
_space_group_name_H-M_alt 'R -3 c'
_space_group_IT_number 167
_space_group_name_Hall '-R 3 2"c'
_cell_length_a 5.1128
_cell_length_b 5.1128
_cell_length_c 13.9838
_cell_angle_alpha 90.00
_cell_angle_beta 90.00
_cell_angle_gamma 120.00
loop_
_atom_site_label
_atom_site_type_symbol
_atom_site_fract_x
_atom_site_fract_y
_atom_site_fract_z
Ti1 Ti 0.0000 0.0000 0.1545
O1 O 0.0000 0.3123 0.2500
```

---

# 6
Diffraction record for Ti2O3. The PXRD pattern is simulated, not measured: it uses a crystal structure in the Materials Project, relaxed with PBE and Cu Kα.

Top 12 peaks for 10° ≤ 2θ ≤ 90°, low angle first:
2θ (°)	I/Imax	(hkl)
20.7	30	1 1 0
25.5	42	0 0 2
29.1	57	2 0 0
29.8	100	0 2 0
32.5	16	0 2 1
39.6	22	0 2 2
42.2	22	2 2 0
44.4	11	2 2 -2
47.0	35	3 1 0
51.9	36	1 1 -4
57.4	14	4 0 -2
61.4	14	3 1 2

Crystal structure
```
data_Ti2O3
_chemical_formula_sum 'Ti8 O12'
_space_group_name_H-M_alt 'C 1 2/c 1'
_space_group_IT_number 15
_cell_length_a 6.4735
_cell_length_b 5.9941
_cell_length_c 7.3791
_cell_angle_alpha 90.00
_cell_angle_beta 108.70
_cell_angle_gamma 90.00
loop_
_space_group_symop_operation_xyz
'x,y,z'
'-x,-y,-z'
'-x,y,-z+1/2'
'x,-y,z+1/2'
'x+1/2,y+1/2,z'
'-x+1/2,-y+1/2,-z'
'-x+1/2,y+1/2,-z+1/2'
'x+1/2,-y+1/2,z+1/2'
loop_
_atom_site_label
_atom_site_type_symbol
_atom_site_fract_x
_atom_site_fract_y
_atom_site_fract_z
Ti1 Ti 0.2066 0.0181 0.1909
O1 O 0.0000 0.4261 0.7500
O2 O 0.1368 0.0420 0.4188
```

---

# 7
Diffraction record for Ti9O10. The PXRD pattern is simulated, not measured: it uses a crystal structure in the Materials Project, relaxed with PBE and Cu Kα.

Top 12 peaks for 10° ≤ 2θ ≤ 90°, low angle first:
2θ (°)	I/Imax	(hkl)
21.2	32	1 0 0
28.3	33	1 0 -2
32.5	60	1 1 -1
35.5	35	1 1 1
36.5	47	1 -1 3
36.8	73	-1 2 1
37.7	71	0 2 -2
38.1	39	0 1 3
40.1	100	2 -1 0
47.8	40	0 1 4
54.4	24	0 3 0
57.5	28	2 -3 2

Crystal structure
```
data_Ti9O10
_chemical_formula_sum 'Ti9 O10'
_space_group_name_H-M_alt 'P -1'
_space_group_IT_number 2
_cell_length_a 4.5044
_cell_length_b 5.5257
_cell_length_c 8.9510
_cell_angle_alpha 99.31
_cell_angle_beta 90.55
_cell_angle_gamma 111.38
loop_
_space_group_symop_operation_xyz
'x,y,z'
'-x,-y,-z'
loop_
_atom_site_label
_atom_site_type_symbol
_atom_site_fract_x
_atom_site_fract_y
_atom_site_fract_z
Ti1 Ti 0.0000 0.0000 0.0000
Ti2 Ti 0.0821 0.1672 0.6576
Ti3 Ti 0.1965 0.5331 0.1043
Ti4 Ti 0.2691 0.5144 0.4111
Ti5 Ti 0.3703 0.7933 0.7287
O1 O 0.1146 0.7979 0.5444
O2 O 0.2001 0.3062 0.8915
O3 O 0.2209 0.2290 0.2130
O4 O 0.2555 0.7749 0.9402
O5 O 0.4012 0.8207 0.2935
```

---

# 8
Diffraction record for Ti3O. The PXRD pattern is simulated, not measured: it uses a crystal structure in the Materials Project, relaxed with PBE and Cu Kα.

Top 12 peaks for 10° ≤ 2θ ≤ 90°, low angle first:
2θ (°)	I/Imax	(hkl)
20.8	2	1 0 1
34.8	14	1 1 0
37.8	19	0 0 6
39.8	100	2 -1 3
52.3	21	1 1 6
62.4	18	3 0 0
69.6	15	2 -1 9
73.5	1	2 2 0
75.3	13	3 0 6
76.6	12	2 2 3
80.7	2	0 0 12
85.7	4	4 -2 6

Crystal structure
```
data_Ti3O
_chemical_formula_sum 'Ti18 O6'
_space_group_name_H-M_alt 'P 3 1 2'
_space_group_IT_number 149
_cell_length_a 5.1563
_cell_length_b 5.1563
_cell_length_c 14.2843
_cell_angle_alpha 90.00
_cell_angle_beta 90.00
_cell_angle_gamma 120.00
loop_
_space_group_symop_operation_xyz
'x,y,z'
'-y,x-y,z'
'-x+y,-x,z'
'-y,-x,-z'
'-x+y,y,-z'
'x,x-y,-z'
loop_
_atom_site_label
_atom_site_type_symbol
_atom_site_fract_x
_atom_site_fract_y
_atom_site_fract_z
Ti1 Ti 0.0000 0.3379 0.4216
Ti2 Ti 0.9996 0.3385 0.7553
Ti3 Ti 0.0054 0.3328 0.0886
O1 O 0.0000 0.0000 0.0000
O2 O 0.3333 0.6667 0.0000
O3 O 0.3333 0.6667 0.3335
O4 O 0.6667 0.3333 0.3332
```